Structure and calculated powder diffractogram of LiUBO5 (a structure optimized by DFT (PBE); copper Kα).

Crystal structure
Cell: 5.9008 10.6922 6.8739 Å, 90.00 104.94 90.00°
Space group P2_1/c (No. 14)
Inequivalent atoms, fractional coordinates:
Li 0.0517 0.2290 0.1241
U 0.4006 0.5658 0.7289
B 0.2843 0.6476 0.2015
O 0.1548 0.7436 0.6723
O 0.1633 0.0501 0.1794
O 0.3502 0.5853 0.0483
O 0.3506 0.1755 0.7134
O 0.3614 0.5895 0.3874

Main lines, low angle first (2θ = 10–90°):
2θ 15.54, 5.701 Å, rel. 100.0, hkl 1 0 0
2θ 16.58, 5.346 Å, rel. 49.5, hkl 0 2 0
2θ 21.34, 4.165 Å, rel. 54.1, hkl 0 2 1
2θ 22.80, 3.900 Å, rel. 40.4, hkl 1 2 0
2θ 24.34, 3.656 Å, rel. 38.2, hkl 1 2 -1
2θ 26.85, 3.321 Å, rel. 45.0, hkl 0 0 2
2θ 27.37, 3.258 Å, rel. 38.6, hkl 1 0 -2
2θ 40.53, 2.226 Å, rel. 36.7, hkl 2 3 0